Theoretical powder X-ray diffraction pattern of Sr6MgTe8O22 for Cu Kα X-rays, from a GGA-PBE-relaxed structure.
Lines closer than 0.1° are merged.

Structure:
Unit cell a=7.9685 b=9.9243 c=10.0476 alpha=102.62 beta=98.76 gamma=113.40
Positions (direct):
Sr (0.0000, 0.0000, 0.0000)
Sr (0.0334, 0.5412, 0.4429)
Sr (0.3880, 0.2754, 0.3905)
Sr (0.4318, 0.7364, 0.9335)
Sr (0.5662, 0.1914, 0.0558)
Sr (0.8886, 0.5487, 0.8875)
Mg (0.4350, 0.2718, 0.7456)
Te (0.0821, 0.3090, 0.6620)
Te (0.1518, 0.9492, 0.6304)
Te (0.2185, 0.4204, 0.1157)
Te (0.2707, 0.8507, 0.2508)
Te (0.6539, 0.6474, 0.6325)
Te (0.6943, 0.0721, 0.7439)
Te (0.7370, 0.6549, 0.1862)
Te (0.7962, 0.1156, 0.3103)
O (0.0215, 0.7454, 0.2977)
O (0.1204, 0.5193, 0.7475)
O (0.1245, 0.3291, 0.4766)
O (0.1864, 0.7229, 0.0608)
O (0.2268, 0.0133, 0.2152)
O (0.2521, 0.8079, 0.6113)
O (0.2800, 0.5344, 0.3060)
O (0.2860, 0.0835, 0.8206)
O (0.3098, 0.2737, 0.1347)
O (0.3199, 0.1029, 0.5589)
O (0.4342, 0.5460, 0.0582)
O (0.5530, 0.9611, 0.1760)
O (0.5709, 0.4691, 0.6976)
O (0.6161, 0.9718, 0.8792)
O (0.6751, 0.2586, 0.8264)
O (0.7102, 0.2696, 0.3445)
O (0.7189, 0.5615, 0.4763)
O (0.7493, 0.4735, 0.0951)
O (0.7760, 0.7489, 0.0405)
O (0.8914, 0.7618, 0.7685)
O (0.9040, 0.1733, 0.1649)
O (0.9528, 0.1426, 0.8312)

Largest 12 diffraction maxima, by angle, 2θ from 10° to 90°:
d/Å  I_rel
4.762  39
3.651  26
3.443  48
3.304  52
3.283  41
3.274  88
3.122  83
3.116  100
2.990  32
2.262  34
1.858  25
1.821  26

***

Theoretical powder X-ray diffraction pattern of Ba2GdTaO6 for Cu Kα X-rays, from a GGA-PBE-relaxed structure.
Lines closer than 0.1° are merged.

Structure:
Unit cell a=6.0792 b=6.0792 c=6.0792 alpha=60.00 beta=60.00 gamma=60.00
Positions (direct):
Ba (0.2500, 0.2500, 0.2500)
Ba (0.7500, 0.7500, 0.7500)
Gd (0.0000, 0.0000, 0.0000)
Ta (0.5000, 0.5000, 0.5000)
O (0.2659, 0.2659, 0.7341)
O (0.2659, 0.7341, 0.2659)
O (0.2659, 0.7341, 0.7341)
O (0.7341, 0.2659, 0.2659)
O (0.7341, 0.2659, 0.7341)
O (0.7341, 0.7341, 0.2659)

Largest 11 diffraction maxima, by angle, 2θ from 10° to 90°:
d/Å  I_rel
4.964  1
4.299  4
3.040  100
2.149  28
1.922  2
1.755  41
1.520  18
1.433  1
1.359  18
1.241  6
1.149  22

***

Theoretical powder X-ray diffraction pattern of Tl2Ag16Te11 for Cu Kα X-rays, from a GGA-PBE-relaxed structure.
Lines closer than 0.1° are merged.

Structure:
Unit cell a=11.4113 b=11.4274 c=15.4367 alpha=111.55 beta=90.02 gamma=119.68
Positions (direct):
Tl (0.0000, 0.0000, 0.0000)
Tl (0.0989, 0.2043, 0.3137)
Tl (0.4987, 0.9851, 0.4868)
Tl (0.6169, 0.2112, 0.8231)
Ag (0.0832, 0.2011, 0.6839)
Ag (0.1037, 0.7886, 0.4896)
Ag (0.1309, 0.6018, 0.6811)
Ag (0.1924, 0.3722, 0.5646)
Ag (0.1918, 0.5872, 0.4853)
Ag (0.1929, 0.3825, 0.9910)
Ag (0.1964, 0.8009, 0.9944)
Ag (0.2116, 0.9092, 0.3291)
Ag (0.2175, 0.9100, 0.8341)
Ag (0.2937, 0.1017, 0.6552)
Ag (0.3284, 0.1067, 0.1491)
Ag (0.3992, 0.2926, 0.9952)
Ag (0.4013, 0.2917, 0.4884)
Ag (0.4183, 0.6214, 0.3274)
Ag (0.4864, 0.6006, 0.1387)
Ag (0.4888, 0.5604, 0.6848)
Ag (0.5037, 0.4043, 0.3219)
Ag (0.5424, 0.0210, 0.1385)
Ag (0.5586, 0.8412, 0.6598)
Ag (0.6165, 0.8143, 0.9969)
Ag (0.6923, 0.3727, 0.0725)
Ag (0.6959, 0.3924, 0.4908)
Ag (0.7047, 0.6183, 0.8290)
Ag (0.7072, 0.7951, 0.4889)
Ag (0.7172, 0.1184, 0.3253)
Ag (0.7940, 0.8376, 0.1536)
Ag (0.8214, 0.3628, 0.6558)
Ag (0.9003, 0.0872, 0.4871)
Ag (0.9083, 0.5798, 0.9871)
Ag (0.9174, 0.8316, 0.7540)
Ag (0.9202, 0.1265, 0.8328)
Ag (0.9889, 0.5959, 0.1793)
Te (0.0648, 0.8701, 0.1593)
Te (0.1350, 0.0618, 0.4906)
Te (0.1785, 0.1383, 0.8252)
Te (0.1847, 0.6502, 0.3245)
Te (0.2627, 0.5116, 0.7706)
Te (0.2826, 0.3378, 0.1641)
Te (0.3208, 0.8681, 0.6589)
Te (0.3533, 0.6927, 0.0401)
Te (0.4286, 0.5581, 0.4927)
Te (0.4566, 0.0699, 0.9868)
Te (0.4755, 0.1354, 0.3218)
Te (0.5605, 0.3389, 0.6571)
Te (0.6420, 0.5500, 0.9900)
Te (0.6786, 0.8461, 0.3217)
Te (0.6869, 0.8584, 0.8286)
Te (0.7611, 0.5189, 0.2702)
Te (0.7929, 0.0994, 0.6580)
Te (0.8209, 0.1000, 0.1549)
Te (0.8581, 0.7010, 0.5530)
Te (0.9268, 0.3489, 0.9990)
Te (0.9349, 0.3553, 0.4901)
Te (0.9730, 0.6471, 0.8240)

Largest 12 diffraction maxima, by angle, 2θ from 10° to 90°:
d/Å  I_rel
4.817  25
3.307  56
3.291  31
3.056  29
3.041  100
2.807  24
2.796  49
2.788  55
2.396  25
2.331  69
2.166  55
2.155  39

***

Theoretical powder X-ray diffraction pattern of Na6LaNb3Si6O24 for Cu Kα X-rays, from a GGA-PBE-relaxed structure.
Lines closer than 0.1° are merged.

Structure:
Unit cell a=9.1792 b=9.1865 c=9.2372 alpha=60.28 beta=60.25 gamma=60.06
Positions (direct):
Na (0.0000, 0.0000, 0.0000)
Na (0.0295, 0.2659, 0.3657)
Na (0.2479, 0.8892, 0.2546)
Na (0.4616, 0.5014, 0.1747)
Na (0.4965, 0.7961, 0.5061)
Na (0.7510, 0.3855, 0.7578)
La (0.1891, 0.2522, 0.6205)
Nb (0.3159, 0.5255, 0.8988)
Nb (0.6918, 0.7461, 0.1046)
Nb (0.8077, 0.0288, 0.4153)
Si (0.0013, 0.9125, 0.7113)
Si (0.4915, 0.8329, 0.8175)
Si (0.5017, 0.1389, 0.2043)
Si (0.5132, 0.4390, 0.5018)
Si (0.9868, 0.3406, 0.0323)
Si (0.9984, 0.6540, 0.2857)
O (0.1665, 0.3924, 0.9702)
O (0.1805, 0.6024, 0.1167)
O (0.1868, 0.7496, 0.7477)
O (0.3006, 0.9850, 0.8238)
O (0.3221, 0.1519, 0.3739)
O (0.3454, 0.4416, 0.4857)
O (0.4868, 0.4420, 0.6906)
O (0.4888, 0.3231, 0.0337)
O (0.4988, 0.6536, 0.8093)
O (0.5238, 0.7744, 0.0021)
O (0.5303, 0.9770, 0.1536)
O (0.5420, 0.6283, 0.3542)
O (0.6491, 0.9048, 0.6282)
O (0.6686, 0.1007, 0.2618)
O (0.6819, 0.2544, 0.4680)
O (0.8212, 0.5013, 0.1023)
O (0.8346, 0.7346, 0.2131)
O (0.8387, 0.8436, 0.8735)
O (0.9669, 0.3169, 0.8824)
O (0.9781, 0.4854, 0.4628)
O (0.9821, 0.0996, 0.7050)
O (0.9897, 0.8266, 0.3068)
O (0.9901, 0.9350, 0.5286)
O (0.9940, 0.1568, 0.2049)

Largest 12 diffraction maxima, by angle, 2θ from 10° to 90°:
d/Å  I_rel
6.515  24
4.622  85
4.593  100
3.921  18
3.258  44
2.921  36
2.906  68
2.674  31
2.657  56
2.057  18
1.963  19
1.578  17